# 1
Diffraction record for Ce2PPt8. The powder diffractogram is simulated, not measured: it uses a cell relaxed with GGA-PBE and copper Kα.

Structure:
a = 4.303 Å, b = 17.452 Å, c = 5.440 Å
α = 90.00°, β = 90.00°, γ = 90.00°
Space group Amm2 (No. 38)
Unique sites:
Ce1 0.000 0.124 0.000
P1 0.500 0.000 0.731
Pt1 0.000 0.000 0.509
Pt2 0.000 0.201 0.496
Pt3 0.500 0.000 0.139
Pt4 0.500 0.110 0.505
Pt5 0.500 0.246 0.237

The 8 most intense peaks (2θ = 10–90°), low angle first:
2θ 17.1, 5.193 Å, I 19, hkl 0 1 1
2θ 30.6, 2.919 Å, I 16, hkl 1 3 1
2θ 37.1, 2.426 Å, I 100, hkl 1 5 1
2θ 39.0, 2.308 Å, I 17, hkl 0 4 2
2θ 39.2, 2.299 Å, I 24, hkl 1 0 2
2θ 42.0, 2.151 Å, I 37, hkl 2 0 0
2θ 44.5, 2.034 Å, I 28, hkl 1 4 2
2θ 73.5, 1.289 Å, I 17, hkl 3 5 1

# 2
Diffraction record for Zn2TcNi. The powder diffractogram is simulated, not measured: it uses a cell relaxed with GGA-PBE and copper Kα.

Structure:
a = 2.655 Å, b = 3.367 Å, c = 5.904 Å
α = 90.00°, β = 90.00°, γ = 90.00°
Space group Pmmm (No. 47)
Unique sites:
Zn1 0.000 0.000 0.227
Tc1 0.500 0.500 0.500
Ni1 0.500 0.500 0.000

The 8 most intense peaks (2θ = 10–90°), low angle first:
2θ 40.6, 2.220 Å, I 100, hkl 0 1 2
2θ 43.4, 2.085 Å, I 86, hkl 1 1 0
2θ 46.0, 1.974 Å, I 69, hkl 1 0 2
2θ 54.5, 1.683 Å, I 21, hkl 0 2 0
2θ 63.0, 1.476 Å, I 11, hkl 0 0 4
2θ 74.0, 1.281 Å, I 31, hkl 1 2 2
2θ 79.6, 1.205 Å, I 23, hkl 1 1 4
2θ 85.2, 1.139 Å, I 21, hkl 2 1 2

# 3
Diffraction record for Tb3Pb4. The powder diffractogram is simulated, not measured: it uses a cell relaxed with GGA-PBE and copper Kα.

Structure:
a = 4.462 Å, b = 11.698 Å, c = 15.985 Å
α = 90.00°, β = 90.00°, γ = 90.00°
Space group Cmcm (No. 63)
Unique sites:
Tb1 0.000 0.079 0.250
Tb2 0.000 0.341 0.098
Pb1 0.000 0.000 0.000
Pb2 0.000 0.184 0.750
Pb3 0.000 0.366 0.609

The 8 most intense peaks (2θ = 10–90°), low angle first:
2θ 30.4, 2.936 Å, I 36, hkl 1 3 0
2θ 31.0, 2.885 Å, I 100, hkl 1 1 4
2θ 32.5, 2.756 Å, I 42, hkl 1 3 2
2θ 34.9, 2.572 Å, I 17, hkl 1 3 3
2θ 38.0, 2.366 Å, I 24, hkl 1 3 4
2θ 38.1, 2.360 Å, I 19, hkl 0 4 4
2θ 40.4, 2.231 Å, I 31, hkl 2 0 0
2θ 66.6, 1.404 Å, I 18, hkl 1 3 10

# 4
Diffraction record for AgH9O5. The powder diffractogram is simulated, not measured: it uses a cell relaxed with GGA-PBE and copper Kα.

Structure:
a = 5.960 Å, b = 7.301 Å, c = 12.503 Å
α = 90.00°, β = 90.00°, γ = 90.00°
Space group P2_12_12_1 (No. 19)
Unique sites:
Ag1 0.097 0.119 0.250
H1 0.089 0.916 0.453
H2 0.116 0.907 0.054
H3 0.132 0.034 0.592
H4 0.144 0.329 0.918
H5 0.149 0.319 0.588
H6 0.161 0.038 0.912
H7 0.185 0.545 0.695
H8 0.191 0.541 0.828
H9 0.223 0.490 0.513
O1 0.099 0.445 0.567
O2 0.099 0.455 0.936
O3 0.197 0.898 0.393
O4 0.225 0.895 0.113
O5 0.230 0.414 0.259

The 8 most intense peaks (2θ = 10–90°), low angle first:
2θ 14.2, 6.252 Å, I 82, hkl 0 0 2
2θ 16.5, 5.380 Å, I 100, hkl 1 0 1
2θ 25.4, 3.504 Å, I 33, hkl 0 2 1
2θ 26.1, 3.415 Å, I 62, hkl 1 0 3
2θ 28.9, 3.094 Å, I 47, hkl 1 1 3
2θ 32.1, 2.787 Å, I 60, hkl 1 2 2
2θ 32.6, 2.746 Å, I 30, hkl 0 2 3
2θ 33.3, 2.694 Å, I 46, hkl 2 1 1

# 5
Diffraction record for Cd5Hg11Pb. The powder diffractogram is simulated, not measured: it uses a cell relaxed with GGA-PBE and copper Kα.

Structure:
a = 10.335 Å, b = 13.918 Å, c = 6.242 Å
α = 90.00°, β = 94.38°, γ = 90.00°
Space group C2/m (No. 12)
Unique sites:
Cd1 0.000 0.000 0.000
Cd2 0.177 0.343 0.694
Hg1 0.000 0.500 0.500
Hg2 0.044 0.215 0.255
Hg3 0.139 0.000 0.434
Hg4 0.246 0.123 0.823
Pb1 0.000 0.500 0.000

The 8 most intense peaks (2θ = 10–90°), low angle first:
2θ 29.4, 3.035 Å, I 40, hkl 3 1 -1
2θ 30.1, 2.974 Å, I 33, hkl 1 1 -2
2θ 31.0, 2.883 Å, I 100, hkl 2 4 0
2θ 31.5, 2.841 Å, I 73, hkl 0 2 2
2θ 32.4, 2.760 Å, I 50, hkl 3 3 0
2θ 36.7, 2.448 Å, I 57, hkl 4 0 -1
2θ 37.2, 2.417 Å, I 33, hkl 2 2 2
2θ 41.1, 2.198 Å, I 41, hkl 4 2 1

# 6
Diffraction record for LiCr8. The powder diffractogram is simulated, not measured: it uses a cell relaxed with GGA-PBE and copper Kα.

Structure:
a = 7.046 Å, b = 7.046 Å, c = 4.245 Å
α = 90.00°, β = 90.00°, γ = 90.00°
Space group I4/mmm (No. 139)
Unique sites:
Li1 0.000 0.000 0.000
Cr1 0.000 0.337 0.000
Cr2 0.165 0.165 0.500

The 8 most intense peaks (2θ = 10–90°), low angle first:
2θ 17.8, 4.982 Å, I 8, hkl 1 1 0
2θ 24.5, 3.636 Å, I 8, hkl 1 0 1
2θ 42.6, 2.123 Å, I 28, hkl 0 0 2
2θ 44.1, 2.055 Å, I 100, hkl 3 0 1
2θ 55.3, 1.661 Å, I 24, hkl 3 3 0
2θ 72.2, 1.308 Å, I 19, hkl 3 3 2
2θ 79.0, 1.212 Å, I 15, hkl 3 0 3
2θ 82.1, 1.174 Å, I 7, hkl 6 0 0